For LiLaMgGa2, a DFT-relaxed cell (GGA-PBE, Alexandria) gives the computed powder X-ray diffraction pattern in this record (CuKα).
No peak broadening, texture or thermal motion is included.

Top 8 peaks for 2θ = 10–90°, in order of rising 2θ:
13.9°, I = 30, (0 1 0)
25.8°, I = 35, (1 1 1)
27.2°, I = 40, (0 0 2)
34.0°, I = 30, (2 0 0)
35.6°, I = 100, (1 2 1)
44.0°, I = 23, (2 0 2)
53.7°, I = 19, (1 2 3)
61.9°, I = 19, (3 2 1)

Cell and atoms:
Lattice parameters (Å, degrees): 5.2755 6.3756 6.5621 90.00 90.00 90.00
Fractional coordinates of all 10 atoms:
Li1 0.0000 0.0000 0.0000
Li2 0.5000 0.0000 0.0000
La1 0.2500 0.5000 0.2256
La2 0.7500 0.5000 0.7744
Mg1 0.2500 0.0000 0.3773
Mg2 0.7500 0.0000 0.6227
Ga1 0.2500 0.2505 0.7259
Ga2 0.2500 0.7495 0.7259
Ga3 0.7500 0.2505 0.2741
Ga4 0.7500 0.7495 0.2741